Record 1
This entry pairs a crystal structure of Nd2Fe14Si3 with its computed powder XRD pattern. Radiation: Cu Kα (λ = 1.5418 Å). Structure: the PBE geometry in Alexandria.
Lines closer than 0.1° are merged.

The 10 most intense peaks (10 to 90 degrees two-theta), low angle first:
- 2.952 Å, I = 37
- 2.427 Å, I = 47
- 2.354 Å, I = 36
- 2.154 Å, I = 52
- 2.138 Å, I = 68
- 2.117 Å, I = 62
- 2.104 Å, I = 64
- 2.087 Å, I = 100
- 2.084 Å, I = 46
- 2.074 Å, I = 84

Structure:
Cell lengths 6.419, 6.419, 6.421 Å; angles 96.39, 96.39, 81.00 degrees
Element x y z (fractional)
Nd  0.146  0.146  0.333
Nd  0.854  0.854  0.667
Fe  0.000  0.500  0.000
Fe  0.150  0.150  0.841
Fe  0.173  0.648  0.333
Fe  0.186  0.486  0.683
Fe  0.241  0.759  0.000
Fe  0.352  0.827  0.667
Fe  0.486  0.186  0.683
Fe  0.500  0.000  0.000
Fe  0.514  0.814  0.317
Fe  0.648  0.173  0.333
Fe  0.759  0.241  0.000
Fe  0.814  0.514  0.317
Fe  0.827  0.352  0.667
Fe  0.850  0.850  0.159
Si  0.383  0.383  0.061
Si  0.500  0.500  0.500
Si  0.617  0.617  0.939

Record 2
This entry pairs a crystal structure of NdY2Se3 with its computed powder XRD pattern. Radiation: Cu Kα (λ = 1.5418 Å). Structure: the PBE geometry in Alexandria.
Lines closer than 0.1° are merged.

The 10 most intense peaks (10 to 90 degrees two-theta), low angle first:
- 2.925 Å, I = 100
- 2.072 Å, I = 12
- 2.067 Å, I = 61
- 1.689 Å, I = 25
- 1.463 Å, I = 8
- 1.310 Å, I = 5
- 1.308 Å, I = 16
- 1.307 Å, I = 11
- 1.195 Å, I = 7
- 1.193 Å, I = 16

Structure:
Cell lengths 4.134, 5.842, 12.432 Å; angles 90.00, 90.00, 90.00 degrees
Element x y z (fractional)
Nd  0.000  0.000  0.000
Nd  0.500  0.500  0.500
Y  0.000  0.000  0.339
Y  0.000  0.000  0.661
Y  0.500  0.500  0.161
Y  0.500  0.500  0.839
Se  0.000  0.500  0.000
Se  0.000  0.500  0.325
Se  0.000  0.500  0.675
Se  0.500  0.000  0.175
Se  0.500  0.000  0.500
Se  0.500  0.000  0.825

Record 3
This entry pairs a crystal structure of SrSi4Au12 with its computed powder XRD pattern. Radiation: Cu Kα (λ = 1.5418 Å). Structure: the PBE geometry in Alexandria.
Lines closer than 0.1° are merged.

The 10 most intense peaks (10 to 90 degrees two-theta), low angle first:
- 2.808 Å, I = 100
- 2.374 Å, I = 38
- 1.986 Å, I = 9
- 1.893 Å, I = 10
- 1.813 Å, I = 10
- 1.742 Å, I = 24
- 1.523 Å, I = 15
- 1.480 Å, I = 16
- 1.309 Å, I = 19
- 1.166 Å, I = 9

Structure:
Cell lengths 7.691, 7.691, 7.691 Å; angles 109.47, 109.47, 109.47 degrees
Element x y z (fractional)
Sr  0.000  0.000  0.000
Si  0.000  0.000  0.500
Si  0.000  0.500  0.000
Si  0.500  0.000  0.000
Si  0.500  0.500  0.500
Au  0.163  0.503  0.341
Au  0.163  0.822  0.659
Au  0.178  0.341  0.837
Au  0.341  0.163  0.503
Au  0.341  0.837  0.178
Au  0.497  0.659  0.837
Au  0.503  0.341  0.163
Au  0.659  0.163  0.822
Au  0.659  0.837  0.497
Au  0.822  0.659  0.163
Au  0.837  0.178  0.341
Au  0.837  0.497  0.659

Record 4
This entry pairs a crystal structure of RbCe3F10 with its computed powder XRD pattern. Radiation: Cu Kα (λ = 1.5418 Å). Structure: the PBE geometry in Alexandria.
Lines closer than 0.1° are merged.

The 10 most intense peaks (10 to 90 degrees two-theta), low angle first:
- 3.551 Å, I = 100
- 3.075 Å, I = 41
- 2.174 Å, I = 50
- 1.854 Å, I = 58
- 1.775 Å, I = 13
- 1.538 Å, I = 9
- 1.411 Å, I = 20
- 1.375 Å, I = 14
- 1.255 Å, I = 17
- 1.184 Å, I = 13

Structure:
Cell lengths 8.698, 8.698, 8.698 Å; angles 60.00, 60.00, 60.00 degrees
Element x y z (fractional)
Rb  0.250  0.250  0.250
Rb  0.750  0.750  0.750
Ce  0.240  0.240  0.760
Ce  0.240  0.760  0.240
Ce  0.240  0.760  0.760
Ce  0.760  0.240  0.240
Ce  0.760  0.240  0.760
Ce  0.760  0.760  0.240
F  0.112  0.112  0.112
F  0.112  0.112  0.665
F  0.112  0.665  0.112
F  0.170  0.500  0.500
F  0.170  0.500  0.830
F  0.170  0.830  0.500
F  0.335  0.888  0.888
F  0.500  0.170  0.500
F  0.500  0.170  0.830
F  0.500  0.500  0.170
F  0.500  0.500  0.830
F  0.500  0.830  0.170
F  0.500  0.830  0.500
F  0.665  0.112  0.112
F  0.830  0.170  0.500
F  0.830  0.500  0.170
F  0.830  0.500  0.500
F  0.888  0.335  0.888
F  0.888  0.888  0.335
F  0.888  0.888  0.888